The following is a calculated PXRD pattern of Mn2NbTe4. It was derived from a PBE-relaxed structure, using copper Kα.

Most intense lines, 10 to 80 degrees two-theta, in order of rising 2θ:
2theta, intensity, h k l
23.78, 14.7, 0 0 12
29.17, 17.6, 0 1 5
30.79, 100.0, 1 0 7
34.00, 26.5, 1 0 10
39.43, 18.9, 0 1 14
44.14, 34.8, 0 1 17
48.41, 37.3, 1 1 0
58.47, 15.5, 0 2 7
71.08, 20.8, 1 1 24
79.24, 12.4, 2 1 7

Structural model:
```
data_Mn2NbTe4
_chemical_formula_sum 'Mn6 Nb3 Te12'
_cell_length_a 3.7608
_cell_length_b 3.7608
_cell_length_c 44.9063
_cell_angle_alpha 90.00
_cell_angle_beta 90.00
_cell_angle_gamma 120.00
_space_group_name_H-M_alt 'R -3 m'
_space_group_IT_number 166
_space_group_name_Hall '-R 3 2"'
loop_
_atom_site_label
_atom_site_type_symbol
_atom_site_fract_x
_atom_site_fract_y
_atom_site_fract_z
_atom_site_occupancy
Mn1 Mn 0.0000 0.0000 0.0786 1
Nb1 Nb 0.0000 0.0000 0.5000 1
Te1 Te 0.0000 0.0000 0.2087 1
Te2 Te 0.0000 0.0000 0.3766 1
```